# SrCaZr2O6
Simulated powder diffraction line list, Cu Kα X-rays. Input: a DFT-relaxed cell (GGA-PBE, Alexandria).

Peak list (8 most intense, 2θ = 10–90°, low angle first)
| Position (°2θ) | intensity | hkl |
| --- | --- | --- |
| 30.43 | 82 | 0 2 1 |
| 30.57 | 80 | 2 0 1 |
| 30.94 | 100 | 2 2 0 |
| 43.03 | 35 | 0 0 2 |
| 44.12 | 28 | 0 4 0 |
| 53.93 | 40 | 2 2 2 |
| 54.63 | 39 | 2 4 1 |
| 54.88 | 39 | 4 2 1 |

Atomic structure:
Lattice parameters (Å, degrees): 8.141 8.210 4.205 90.00 90.00 90.00
Space group Cmmm (No. 65)
Asymmetric unit:
1 Sr 0.000 0.000 0.000 x2
2 Ca 0.000 0.500 0.000 x2
3 Zr 0.250 0.250 0.500 x4
4 O 0.000 0.184 0.500 x4
5 O 0.180 0.500 0.500 x4
6 O 0.250 0.250 0.000 x4

=====

# Ca4Ta2O9
Simulated powder diffraction line list, Cu Kα X-rays. Input: a DFT-relaxed cell (GGA-PBE, Alexandria).

Peak list (8 most intense, 2θ = 10–90°, low angle first)
| Position (°2θ) | intensity | hkl |
| --- | --- | --- |
| 11.62 | 26 | 0 0 2 |
| 17.96 | 26 | 1 0 0 |
| 18.89 | 100 | 0 1 1 |
| 29.62 | 50 | 1 0 4 |
| 31.37 | 71 | 1 1 0 |
| 34.59 | 27 | 1 0 5 |
| 39.48 | 26 | 2 -1 4 |
| 47.98 | 33 | 1 1 6 |

Atomic structure:
Lattice parameters (Å, degrees): 5.7029 5.7029 15.2317 90.00 90.00 120.00
Space group P-3 (No. 147)
Asymmetric unit:
1 Ca 0.0000 0.0000 0.0000 x1
2 Ca 0.0000 0.0000 0.2396 x2
3 Ca 0.0000 0.0000 0.5000 x1
4 Ca 0.3333 0.6667 0.6414 x2
5 Ca 0.3333 0.6667 0.8565 x2
6 Ta 0.3333 0.6667 0.1517 x2
7 Ta 0.3333 0.6667 0.3514 x2
8 O 0.0331 0.6076 0.2499 x6
9 O 0.0553 0.3473 0.4037 x6
10 O 0.0567 0.3413 0.0994 x6

=====

# CaTa4O14
Simulated powder diffraction line list, Cu Kα X-rays. Input: a DFT-relaxed cell (GGA-PBE, Alexandria).

Peak list (8 most intense, 2θ = 10–90°, low angle first)
| Position (°2θ) | intensity | hkl |
| --- | --- | --- |
| 14.34 | 55 | 0 0 3 |
| 14.56 | 100 | 1 0 1 |
| 28.00 | 46 | 1 1 3 |
| 28.12 | 33 | 0 2 1 |
| 28.91 | 33 | 0 0 6 |
| 29.36 | 90 | 2 0 2 |
| 33.90 | 38 | 0 2 4 |
| 57.88 | 29 | 2 2 6 |

Atomic structure:
Lattice parameters (Å, degrees): 7.4383 7.4383 18.5300 90.00 90.00 120.00
Space group R-3m (No. 166, hexagonal axes)
Asymmetric unit:
1 Ca 0.0000 0.0000 0.0000 x3
2 Ta 0.0000 0.0000 0.5000 x3
3 Ta 0.0000 0.5000 0.0000 x9
4 O 0.0000 0.0000 0.1369 x6
5 O 0.0712 0.5356 0.3520 x18
6 O 0.0862 0.5431 0.1028 x18

=====

# Ca6TaO8
Simulated powder diffraction line list, Cu Kα X-rays. Input: a DFT-relaxed cell (GGA-PBE, Alexandria).

Peak list (8 most intense, 2θ = 10–90°, low angle first)
| Position (°2θ) | intensity | hkl |
| --- | --- | --- |
| 16.05 | 100 | 1 1 1 |
| 31.00 | 45 | 3 1 1 |
| 32.42 | 42 | 2 2 2 |
| 37.61 | 68 | 4 0 0 |
| 49.51 | 22 | 5 1 1 |
| 54.24 | 41 | 4 4 0 |
| 56.95 | 20 | 5 3 1 |
| 64.62 | 20 | 6 2 2 |

Atomic structure:
Lattice parameters (Å, degrees): 9.567 9.567 9.567 90.00 90.00 90.00
Space group Fm-3m (No. 225)
Asymmetric unit:
1 Ca 0.000 0.250 0.250 x24
2 Ta 0.000 0.000 0.000 x4
3 O 0.000 0.000 0.216 x24
4 O 0.250 0.250 0.250 x8

=====

# Ca4Ta2O9
Simulated powder diffraction line list, Cu Kα X-rays. Input: a DFT-relaxed cell (GGA-PBE, Alexandria).

Peak list (8 most intense, 2θ = 10–90°, low angle first)
| Position (°2θ) | intensity | hkl |
| --- | --- | --- |
| 12.41 | 26 | 0 0 2 |
| 18.27 | 23 | 1 1 -1 |
| 22.05 | 100 | 1 1 1 |
| 30.65 | 34 | 2 0 2 |
| 31.25 | 70 | 1 1 -5 |
| 31.50 | 67 | 3 1 -3 |
| 32.13 | 29 | 0 2 0 |
| 44.97 | 52 | 4 0 -8 |

Atomic structure:
Lattice parameters (Å, degrees): 9.907 5.571 17.226 90.00 124.13 90.00
Space group P2_1/c (No. 14)
Asymmetric unit:
1 Ca 0.000 0.000 0.000 x2
2 Ca 0.048 0.020 0.394 x4
3 Ca 0.285 0.503 0.771 x4
4 Ca 0.379 0.017 0.073 x4
5 Ca 0.500 0.000 0.500 x2
6 Ta 0.174 0.509 0.336 x4
7 Ta 0.331 0.510 0.164 x4
8 O 0.046 0.699 0.750 x4
9 O 0.124 0.616 0.424 x4
10 O 0.173 0.171 0.553 x4
11 O 0.198 0.704 0.629 x4
12 O 0.223 0.092 0.734 x4
13 O 0.264 0.210 0.403 x4
14 O 0.378 0.679 0.398 x4
15 O 0.444 0.618 0.107 x4
16 O 0.480 0.209 0.218 x4

=====

# CaTa4O11
Simulated powder diffraction line list, Cu Kα X-rays. Input: a DFT-relaxed cell (GGA-PBE, Alexandria).

Peak list (8 most intense, 2θ = 10–90°, low angle first)
| Position (°2θ) | intensity | hkl |
| --- | --- | --- |
| 14.30 | 57 | 0 0 2 |
| 16.29 | 33 | 1 0 0 |
| 28.83 | 48 | 0 0 4 |
| 29.34 | 100 | 1 1 1 |
| 31.95 | 80 | 1 1 2 |
| 35.93 | 37 | 1 1 3 |
| 50.32 | 34 | 3 0 0 |
| 59.03 | 36 | 3 0 4 |

Atomic structure:
Lattice parameters (Å, degrees): 6.2815 6.2815 12.3871 90.00 90.00 120.00
Space group P6_322 (No. 182)
Asymmetric unit:
1 Ca 0.3333 0.6667 0.2500 x2
2 Ta 0.0000 0.3578 0.5000 x6
3 Ta 0.3333 0.6667 0.7500 x2
4 O 0.0000 0.2445 0.0000 x6
5 O 0.0547 0.4343 0.6557 x12
6 O 0.3333 0.6667 0.0337 x4